Structure and theoretical powder diffractogram of Rb2TaMnO4 (a GGA+U-relaxed structure; Cu Kα, 1.54184 Å).
Peak positions follow from Bragg's law for the DFT cell and can differ from measured ones.

```
16
Lattice="6.182 0.000 0.000 0.000 6.182 0.000 0.000 0.000 9.013" Properties=species:S:1:pos:R:3 pbc="T T T"
Rb 0.000 0.000 0.000
Rb 0.000 3.091 2.253
Rb 3.091 0.000 6.760
Rb 3.091 3.091 4.507
Ta 0.000 3.091 6.760
Ta 3.091 0.000 2.253
Mn 0.000 0.000 4.507
Mn 3.091 3.091 0.000
O 0.612 1.666 5.687
O 1.425 3.703 7.834
O 1.666 5.570 3.327
O 2.479 1.425 1.180
O 3.703 4.757 1.180
O 4.516 0.612 3.327
O 4.757 2.479 7.834
O 5.570 4.516 5.687
```

Largest 6 diffraction maxima, by intensity, 2θ from 15° to 90°:
d (Å), intensity
3.138, 100
3.091, 42
1.793, 38
5.098, 26
1.821, 22
2.186, 16